For Ho4Te2Pt, a DFT-relaxed cell (GGA-PBE, Alexandria) gives the theoretical X-ray powder pattern in this record (Cu Kα, 1.54184 Å).
Intensities are scaled so that the largest is 100.

Crystal structure
```
data_Ho4Te2Pt
_space_group_name_H-M_alt 'P b a m'
_space_group_IT_number 55
_cell_length_a 7.855
_cell_length_b 12.313
_cell_length_c 4.288
_cell_angle_alpha 90.00
_cell_angle_beta 90.00
_cell_angle_gamma 90.00
loop_
_space_group_symop_operation_xyz
'x,y,z'
'-x,-y,-z'
'-x,-y,z'
'x,y,-z'
'x+1/2,-y+1/2,-z'
'-x+1/2,y+1/2,z'
'-x+1/2,y+1/2,-z'
'x+1/2,-y+1/2,z'
loop_
_atom_site_label
_atom_site_fract_x
_atom_site_fract_y
_atom_site_fract_z
Ho1 0.144 0.203 0.000
Ho2 0.204 0.946 0.500
Te1 0.069 0.668 0.500
Pt1 0.000 0.000 0.000
```

Most intense lines, 2θ from 10° to 80°, in order of rising 2θ:
| 2θ (°) | I/Imax | index |
| --- | --- | --- |
| 13.4 | 70 | 1 1 0 |
| 24.7 | 51 | 1 1 1 |
| 31.2 | 76 | 1 4 0 |
| 31.7 | 100 | 2 1 1 |
| 34.2 | 90 | 2 2 1 |
| 42.2 | 50 | 0 0 2 |
| 43.9 | 41 | 1 5 1 |
| 53.4 | 43 | 1 4 2 |